(1)
Calculated X-ray powder pattern
Compound: NaMg3Cd9
Radiation: λ = 1.5418 Å (Cu Kα)
Structure: a structure optimized by DFT (PBE)
Kinematic intensities with the Lorentz-polarization factor, no thermal factor.

Atomic structure:
abc: 6.041 14.297 7.587
angles: 90.00 111.63 90.00
Space group C2/m (No. 12)
Inequivalent atoms, fractional coordinates:
1 Na 0.000 0.000 0.000
2 Mg 0.000 0.000 0.500
3 Mg 0.250 0.250 0.000
4 Cd 0.000 0.500 0.500
5 Cd 0.112 0.392 0.214
6 Cd 0.160 0.174 0.346

Peak list (10 most intense, 10 to 90 degrees two-theta, in order of rising 2θ)
- 2θ 16.96, I 69, (1 1 0)
- 2θ 29.59, I 100, (2 0 -1)
- 2θ 30.24, I 76, (1 3 1)
- 2θ 35.23, I 82, (1 5 0)
- 2θ 35.40, I 78, (1 5 -1)
- 2θ 35.77, I 91, (0 4 2)
- 2θ 36.12, I 80, (1 1 -3)
- 2θ 39.06, I 92, (2 4 -1)
- 2θ 39.61, I 74, (1 3 2)
- 2θ 39.93, I 71, (2 0 -3)


(2)
Calculated X-ray powder pattern
Compound: Ca3ZnCu3
Radiation: λ = 1.5418 Å (Cu Kα)
Structure: a structure optimized by DFT (PBE)
Kinematic intensities with the Lorentz-polarization factor, no thermal factor.

Atomic structure:
abc: 10.704 4.316 14.484
angles: 90.00 110.68 90.00
Space group C2/m (No. 12)
Inequivalent atoms, fractional coordinates:
1 Ca 0.033 0.000 0.385
2 Ca 0.105 0.000 0.923
3 Ca 0.249 0.500 0.768
4 Zn 0.245 0.500 0.403
5 Cu 0.051 0.500 0.234
6 Cu 0.098 0.500 0.078
7 Cu 0.128 0.500 0.540

Peak list (10 most intense, 10 to 90 degrees two-theta, in order of rising 2θ)
- 2θ 16.57, I 42, (2 0 -1)
- 2θ 22.44, I 37, (1 1 0)
- 2θ 32.06, I 49, (1 1 3)
- 2θ 32.27, I 46, (1 1 -4)
- 2θ 32.72, I 57, (3 1 -1)
- 2θ 36.85, I 36, (3 1 -4)
- 2θ 39.44, I 31, (4 0 -5)
- 2θ 39.95, I 100, (3 1 2)
- 2θ 41.86, I 53, (0 2 0)
- 2θ 58.87, I 18, (4 2 -5)


(3)
Calculated X-ray powder pattern
Compound: TiCdTe2O8
Radiation: λ = 1.5418 Å (Cu Kα)
Structure: a structure optimized by DFT (PBE)
Kinematic intensities with the Lorentz-polarization factor, no thermal factor.

Atomic structure:
abc: 6.705 6.960 6.630
angles: 90.00 90.00 90.00
Space group Cmmm (No. 65)
Inequivalent atoms, fractional coordinates:
1 Ti 0.000 0.000 0.000
2 Cd 0.000 0.000 0.500
3 Te 0.000 0.500 0.245
4 O 0.000 0.303 0.000
5 O 0.000 0.325 0.500
6 O 0.198 0.000 0.217

Peak list (10 most intense, 10 to 90 degrees two-theta, in order of rising 2θ)
- 2θ 18.37, I 13, (1 1 0)
- 2θ 25.60, I 68, (0 2 0)
- 2θ 26.59, I 59, (2 0 0)
- 2θ 32.77, I 100, (1 1 2)
- 2θ 37.24, I 26, (2 2 0)
- 2θ 49.87, I 45, (1 3 2)
- 2θ 51.00, I 39, (3 1 2)
- 2θ 64.34, I 25, (3 3 2)
- 2θ 68.69, I 11, (2 2 4)
- 2θ 89.41, I 11, (5 3 2)


(4)
Calculated X-ray powder pattern
Compound: Ac2Tl2In3
Radiation: λ = 1.5418 Å (Cu Kα)
Structure: a structure optimized by DFT (PBE)
Kinematic intensities with the Lorentz-polarization factor, no thermal factor.

Atomic structure:
abc: 4.894 23.997 3.803
angles: 90.00 90.00 90.00
Space group Cmmm (No. 65)
Inequivalent atoms, fractional coordinates:
1 Ac 0.000 0.147 0.000
2 Tl 0.000 0.288 0.500
3 In 0.000 0.000 0.000
4 In 0.000 0.436 0.500

Peak list (10 most intense, 10 to 90 degrees two-theta, in order of rising 2θ)
- 2θ 27.78, I 18, (0 4 1)
- 2θ 29.99, I 62, (1 1 1)
- 2θ 31.86, I 100, (1 7 0)
- 2θ 32.49, I 24, (0 6 1)
- 2θ 36.73, I 27, (2 0 0)
- 2θ 38.21, I 15, (0 8 1)
- 2θ 49.84, I 14, (2 6 1)
- 2θ 58.65, I 34, (1 7 2)
- 2θ 63.11, I 15, (3 7 0)
- 2θ 82.93, I 17, (3 7 2)


(5)
Calculated X-ray powder pattern
Compound: Mg7Si4
Radiation: λ = 1.5418 Å (Cu Kα)
Structure: a structure optimized by DFT (PBE)
Kinematic intensities with the Lorentz-polarization factor, no thermal factor.

Atomic structure:
abc: 5.498 6.432 13.148
angles: 103.27 101.46 90.09
Space group P1 (No. 1)
Inequivalent atoms, fractional coordinates:
1 Mg 0.000 0.000 0.000
2 Mg 0.024 0.539 0.050
3 Mg 0.148 0.970 0.297
4 Mg 0.208 0.503 0.421
5 Mg 0.294 0.894 0.586
6 Mg 0.340 0.430 0.685
7 Mg 0.464 0.693 0.930
8 Mg 0.541 0.285 0.086
9 Mg 0.581 0.844 0.162
10 Mg 0.664 0.286 0.330
11 Mg 0.700 0.821 0.405
12 Mg 0.791 0.574 0.584
13 Mg 0.831 0.127 0.664
14 Mg 0.910 0.563 0.820
15 Si 0.019 0.186 0.493
16 Si 0.160 0.885 0.778
17 Si 0.220 0.261 0.884
18 Si 0.338 0.557 0.241
19 Si 0.472 0.189 0.494
20 Si 0.617 0.883 0.777
21 Si 0.667 0.258 0.884
22 Si 0.899 0.558 0.241

Peak list (10 most intense, 10 to 90 degrees two-theta, in order of rising 2θ)
- 2θ 33.90, I 100, (1 2 0)
- 2θ 35.52, I 56, (1 1 3)
- 2θ 35.81, I 94, (-1 1 4)
- 2θ 39.87, I 60, (2 -1 2)
- 2θ 40.23, I 43, (2 1 -4)
- 2θ 40.52, I 45, (0 2 -5)
- 2θ 41.87, I 51, (0 1 5)
- 2θ 42.29, I 40, (0 1 -6)
- 2θ 43.30, I 51, (2 2 -2)
- 2θ 43.77, I 38, (0 3 -3)


(6)
Calculated X-ray powder pattern
Compound: Li2Mg3Hg2
Radiation: λ = 1.5418 Å (Cu Kα)
Structure: a structure optimized by DFT (PBE)
Kinematic intensities with the Lorentz-polarization factor, no thermal factor.

Atomic structure:
abc: 3.243 4.608 19.191
angles: 90.00 90.00 90.00
Space group Immm (No. 71)
Inequivalent atoms, fractional coordinates:
1 Li 0.000 0.000 0.069
2 Mg 0.000 0.000 0.500
3 Mg 0.000 0.500 0.297
4 Hg 0.000 0.500 0.144

Peak list (10 most intense, 10 to 90 degrees two-theta, in order of rising 2θ)
- 2θ 18.49, I 91, (0 0 4)
- 2θ 19.81, I 100, (0 1 1)
- 2θ 23.80, I 93, (0 1 3)
- 2θ 27.90, I 63, (0 0 6)
- 2θ 30.91, I 66, (1 0 3)
- 2θ 33.80, I 76, (1 1 0)
- 2θ 38.20, I 73, (0 1 7)
- 2θ 38.80, I 80, (1 1 4)
- 2θ 39.09, I 35, (0 2 0)
- 2θ 43.21, I 38, (1 0 7)


(7)
Calculated X-ray powder pattern
Compound: BaTlHgPd2
Radiation: λ = 1.5418 Å (Cu Kα)
Structure: a structure optimized by DFT (PBE)
Kinematic intensities with the Lorentz-polarization factor, no thermal factor.

Atomic structure:
abc: 4.711 4.711 11.714
angles: 90.00 90.00 90.00
Space group I-4m2 (No. 119)
Inequivalent atoms, fractional coordinates:
1 Ba 0.000 0.000 0.000
2 Tl 0.000 0.500 0.750
3 Hg 0.000 0.500 0.250
4 Pd 0.000 0.000 0.386

Peak list (10 most intense, 10 to 90 degrees two-theta, in order of rising 2θ)
- 2θ 15.13, I 23, (0 0 2)
- 2θ 29.72, I 22, (1 0 3)
- 2θ 30.88, I 100, (1 1 2)
- 2θ 38.21, I 50, (2 0 0)
- 2θ 41.04, I 34, (1 1 4)
- 2θ 43.12, I 14, (1 0 5)
- 2θ 54.48, I 13, (1 1 6)
- 2θ 55.14, I 17, (2 2 0)
- 2θ 64.55, I 25, (3 1 2)
- 2θ 70.98, I 13, (3 1 4)


(8)
Calculated X-ray powder pattern
Compound: Ba3Sn2Au9
Radiation: λ = 1.5418 Å (Cu Kα)
Structure: a structure optimized by DFT (PBE)
Kinematic intensities with the Lorentz-polarization factor, no thermal factor.

Atomic structure:
abc: 4.861 10.002 14.647
angles: 90.00 90.00 90.00
Space group Immm (No. 71)
Inequivalent atoms, fractional coordinates:
1 Ba 0.000 0.000 0.000
2 Ba 0.000 0.000 0.286
3 Sn 0.000 0.179 0.500
4 Au 0.000 0.287 0.136
5 Au 0.000 0.360 0.346
6 Au 0.000 0.500 0.000

Peak list (10 most intense, 10 to 90 degrees two-theta, in order of rising 2θ)
- 2θ 30.25, I 58, (0 2 4)
- 2θ 31.54, I 97, (1 2 3)
- 2θ 31.88, I 48, (1 1 4)
- 2θ 32.56, I 63, (1 3 0)
- 2θ 34.85, I 46, (1 3 2)
- 2θ 36.82, I 32, (0 0 6)
- 2θ 36.99, I 78, (2 0 0)
- 2θ 41.05, I 100, (1 3 4)
- 2θ 48.50, I 32, (2 2 4)
- 2θ 60.78, I 39, (1 4 7)


(9)
Calculated X-ray powder pattern
Compound: CeNd5Sn4
Radiation: λ = 1.5418 Å (Cu Kα)
Structure: a structure optimized by DFT (PBE)
Kinematic intensities with the Lorentz-polarization factor, no thermal factor.

Atomic structure:
abc: 8.419 10.317 8.259
angles: 90.00 90.00 90.00
Space group Pmmn (No. 59, origin choice 2)
Inequivalent atoms, fractional coordinates:
1 Ce 0.250 0.250 0.084
2 Nd 0.012 0.550 0.273
3 Nd 0.250 0.750 0.690
4 Sn 0.083 0.250 0.441
5 Sn 0.250 0.552 0.977

Peak list (10 most intense, 10 to 90 degrees two-theta, in order of rising 2θ)
- 2θ 23.72, I 59, (2 0 1)
- 2θ 25.27, I 48, (2 1 1)
- 2θ 27.35, I 30, (2 2 0)
- 2θ 28.09, I 100, (0 3 1)
- 2θ 30.32, I 54, (2 0 2)
- 2θ 33.71, I 32, (0 1 3)
- 2θ 34.82, I 43, (0 4 0)
- 2θ 35.06, I 98, (2 2 2)
- 2θ 43.00, I 64, (4 0 0)
- 2θ 50.48, I 35, (2 5 1)


(10)
Calculated X-ray powder pattern
Compound: HoZn11Rh
Radiation: λ = 1.5418 Å (Cu Kα)
Structure: a structure optimized by DFT (PBE)
Kinematic intensities with the Lorentz-polarization factor, no thermal factor.

Atomic structure:
abc: 5.186 12.693 6.676
angles: 90.00 111.46 90.00
Space group C2/m (No. 12)
Inequivalent atoms, fractional coordinates:
1 Ho 0.000 0.000 0.000
2 Zn 0.000 0.500 0.500
3 Zn 0.108 0.392 0.215
4 Zn 0.159 0.174 0.354
5 Zn 0.250 0.250 0.000
6 Rh 0.000 0.000 0.500

Peak list (10 most intense, 10 to 90 degrees two-theta, in order of rising 2θ)
- 2θ 34.62, I 35, (2 0 -1)
- 2θ 35.17, I 27, (1 3 -2)
- 2θ 39.97, I 36, (2 2 0)
- 2θ 40.14, I 30, (1 5 0)
- 2θ 40.50, I 27, (1 1 2)
- 2θ 40.63, I 100, (0 4 2)
- 2θ 41.28, I 21, (1 1 -3)
- 2θ 45.17, I 23, (2 4 -1)
- 2θ 46.13, I 19, (2 0 -3)
- 2θ 73.05, I 27, (4 0 -2)


(11)
Calculated X-ray powder pattern
Compound: Cs3K4Bi2
Radiation: λ = 1.5418 Å (Cu Kα)
Structure: a structure optimized by DFT (PBE)
Kinematic intensities with the Lorentz-polarization factor, no thermal factor.

Atomic structure:
abc: 15.189 6.439 11.016
angles: 90.00 109.08 90.00
Space group C2/m (No. 12)
Inequivalent atoms, fractional coordinates:
1 Cs 0.000 0.000 0.000
2 Cs 0.028 0.500 0.315
3 K 0.183 0.000 0.552
4 K 0.227 0.500 0.080
5 Bi 0.242 0.500 0.735

Peak list (10 most intense, 10 to 90 degrees two-theta, in order of rising 2θ)
- 2θ 16.30, I 100, (1 1 -1)
- 2θ 24.31, I 29, (1 1 2)
- 2θ 24.81, I 50, (4 0 0)
- 2θ 24.94, I 26, (3 1 -2)
- 2θ 25.12, I 28, (4 0 -2)
- 2θ 26.77, I 85, (3 1 1)
- 2θ 27.71, I 57, (0 2 0)
- 2θ 28.06, I 51, (1 1 -3)
- 2θ 29.83, I 27, (3 1 -3)
- 2θ 37.53, I 34, (4 2 0)


(12)
Calculated X-ray powder pattern
Compound: Ac3Pr7Sm
Radiation: λ = 1.5418 Å (Cu Kα)
Structure: a structure optimized by DFT (PBE)
Kinematic intensities with the Lorentz-polarization factor, no thermal factor.

Atomic structure:
abc: 6.083 11.877 12.040
angles: 90.00 90.00 90.00
Space group Immm (No. 71)
Inequivalent atoms, fractional coordinates:
1 Ac 0.000 0.000 0.000
2 Ac 0.000 0.289 0.500
3 Pr 0.000 0.000 0.500
4 Pr 0.000 0.206 0.202
5 Pr 0.000 0.500 0.285
6 Sm 0.000 0.500 0.000

Peak list (10 most intense, 10 to 90 degrees two-theta, in order of rising 2θ)
- 2θ 22.18, I 27, (1 2 1)
- 2θ 29.36, I 66, (2 0 0)
- 2θ 29.68, I 36, (0 0 4)
- 2θ 30.10, I 32, (0 4 0)
- 2θ 30.64, I 100, (1 2 3)
- 2θ 30.77, I 89, (1 3 2)
- 2θ 42.24, I 28, (2 0 4)
- 2θ 42.55, I 25, (2 4 0)
- 2θ 52.92, I 42, (3 2 3)
- 2θ 58.52, I 22, (1 7 2)


(13)
Calculated X-ray powder pattern
Compound: RbNi4H7
Radiation: λ = 1.5418 Å (Cu Kα)
Structure: a structure optimized by DFT (PBE)
Kinematic intensities with the Lorentz-polarization factor, no thermal factor.

Atomic structure:
abc: 3.757 3.757 14.209
angles: 90.00 90.00 90.00
Space group I4/mmm (No. 139)
Inequivalent atoms, fractional coordinates:
1 Rb 0.000 0.000 0.000
2 Ni 0.000 0.000 0.374
3 Ni 0.000 0.500 0.250
4 H 0.000 0.000 0.258
5 H 0.000 0.000 0.500
6 H 0.000 0.500 0.135

Peak list (10 most intense, 10 to 90 degrees two-theta, in order of rising 2θ)
- 2θ 30.37, I 100, (1 0 3)
- 2θ 36.10, I 90, (1 1 2)
- 2θ 39.77, I 45, (1 0 5)
- 2θ 42.49, I 33, (1 1 4)
- 2θ 48.46, I 51, (2 0 0)
- 2θ 51.45, I 21, (0 0 8)
- 2θ 51.71, I 32, (1 1 6)
- 2θ 58.27, I 29, (2 1 3)
- 2θ 64.42, I 20, (2 1 5)
- 2θ 73.36, I 27, (2 0 8)